Record 1
The following is a computed X-ray diffraction stick pattern of MnFeP2. It was derived from a PBE-relaxed structure, using Cu Kα (weighted mean of Kα1 and Kα2).

abc: 3.1161 5.7918 5.1475
angles: 90.00 90.00 90.00
Sites, in units of the cell vectors:
Mn1 0.0000 0.0478 0.0000
Mn2 0.0000 0.9522 0.5000
Fe1 0.5000 0.4472 0.9971
Fe2 0.5000 0.5528 0.4971
P1 0.0000 0.3227 0.6869
P2 0.0000 0.6773 0.1869
P3 0.5000 0.1860 0.3125
P4 0.5000 0.8140 0.8125

Most intense lines, 2θ = 10–90°, sorted by position:
| 2theta | I (rel.) |
| --- | --- |
| 32.63 | 71.3 |
| 34.86 | 21.9 |
| 37.13 | 36.1 |
| 46.29 | 52.6 |
| 47.25 | 48.8 |
| 48.49 | 100.0 |
| 50.49 | 27.2 |
| 56.04 | 30.3 |
| 59.31 | 24.9 |
| 79.09 | 19.2 |

***

Record 2
The following is a computed X-ray diffraction stick pattern of Mn3Fe9P4. It was derived from a PBE-relaxed structure, using Cu Kα (weighted mean of Kα1 and Kα2).

abc: 4.4158 6.7330 6.7498
angles: 83.71 70.92 70.88
Sites, in units of the cell vectors:
Mn1 0.0000 0.0000 0.0000
Mn2 0.1548 0.6397 0.0509
Mn3 0.7037 0.7933 0.8411
Fe1 0.1879 0.4287 0.6954
Fe2 0.3030 0.7721 0.6347
Fe3 0.4237 0.2096 0.9773
Fe4 0.4660 0.2108 0.3559
Fe5 0.4964 0.8457 0.2125
Fe6 0.7643 0.4301 0.0745
Fe7 0.8201 0.4903 0.4175
Fe8 0.8640 0.8696 0.4157
Fe9 0.8804 0.1502 0.6349
P1 0.0381 0.1579 0.2730
P2 0.3026 0.5722 0.3621
P3 0.3886 0.0690 0.6898
P4 0.6220 0.4817 0.7782

Most intense lines, 2θ = 10–90°, sorted by position:
| 2theta | I (rel.) |
| --- | --- |
| 36.17 | 22.9 |
| 41.51 | 100.0 |
| 41.58 | 26.0 |
| 43.38 | 72.0 |
| 44.99 | 22.1 |
| 45.01 | 22.7 |
| 46.30 | 55.0 |
| 46.43 | 54.9 |
| 50.28 | 27.8 |
| 52.43 | 36.9 |

***

Record 3
The following is a computed X-ray diffraction stick pattern of MnFePd6. It was derived from a PBE-relaxed structure, using Cu Kα (weighted mean of Kα1 and Kα2).

abc: 3.9228 3.9228 7.8390
angles: 90.00 90.00 90.00
Sites, in units of the cell vectors:
Mn1 0.0000 0.0000 0.0000
Fe1 0.0000 0.0000 0.5000
Pd1 0.0000 0.5000 0.2526
Pd2 0.0000 0.5000 0.7474
Pd3 0.5000 0.0000 0.2526
Pd4 0.5000 0.0000 0.7474
Pd5 0.5000 0.5000 0.0000
Pd6 0.5000 0.5000 0.5000

Most intense lines, 2θ = 10–90°, sorted by position:
| 2theta | I (rel.) |
| --- | --- |
| 22.67 | 5.7 |
| 32.28 | 4.7 |
| 39.81 | 100.0 |
| 46.30 | 48.2 |
| 52.15 | 2.6 |
| 57.57 | 1.9 |
| 67.56 | 29.9 |
| 72.28 | 1.3 |
| 81.38 | 35.2 |
| 85.84 | 10.4 |

***

Record 4
The following is a computed X-ray diffraction stick pattern of MnFePt2. It was derived from a PBE-relaxed structure, using Cu Kα (weighted mean of Kα1 and Kα2).

abc: 2.6612 2.6612 7.4470
angles: 90.00 90.00 90.00
Sites, in units of the cell vectors:
Mn1 0.0000 0.0000 0.0000
Fe1 0.0000 0.0000 0.5000
Pt1 0.5000 0.5000 0.2494
Pt2 0.5000 0.5000 0.7506

Most intense lines, 2θ = 10–90°, sorted by position:
| 2theta | I (rel.) |
| --- | --- |
| 23.90 | 30.1 |
| 33.68 | 25.8 |
| 41.72 | 100.0 |
| 48.37 | 32.5 |
| 48.92 | 15.7 |
| 54.65 | 14.0 |
| 60.71 | 10.4 |
| 71.25 | 20.2 |
| 85.69 | 25.1 |
| 86.53 | 12.3 |

***

Record 5
The following is a computed X-ray diffraction stick pattern of Mn4FeS5. It was derived from a PBE-relaxed structure, using Cu Kα (weighted mean of Kα1 and Kα2).

abc: 14.7704 14.7704 14.7704
angles: 13.95 13.95 13.95
Sites, in units of the cell vectors:
Mn1 0.1015 0.1015 0.1015
Mn2 0.3001 0.3001 0.3001
Mn3 0.6999 0.6999 0.6999
Mn4 0.8985 0.8985 0.8985
Fe1 0.5000 0.5000 0.5000
S1 0.0000 0.0000 0.0000
S2 0.1989 0.1989 0.1989
S3 0.4001 0.4001 0.4001
S4 0.5999 0.5999 0.5999
S5 0.8011 0.8011 0.8011

Most intense lines, 2θ = 10–90°, sorted by position:
| 2theta | I (rel.) |
| --- | --- |
| 30.54 | 13.6 |
| 35.41 | 100.0 |
| 50.94 | 64.0 |
| 60.57 | 5.4 |
| 63.56 | 20.6 |
| 74.92 | 9.3 |
| 83.00 | 1.3 |
| 85.68 | 26.1 |

***

Record 6
The following is a computed X-ray diffraction stick pattern of Mn4FeS5. It was derived from a PBE-relaxed structure, using Cu Kα (weighted mean of Kα1 and Kα2).

abc: 6.1761 6.1761 8.7174
angles: 118.53 118.53 33.70
Sites, in units of the cell vectors:
Mn1 0.1025 0.1025 0.3998
Mn2 0.2988 0.2988 0.1936
Mn3 0.7012 0.7012 0.8064
Mn4 0.8975 0.8975 0.6002
Fe1 0.5000 0.5000 0.0000
S1 0.0961 0.0961 0.8998
S2 0.3009 0.3009 0.7046
S3 0.5000 0.5000 0.5000
S4 0.6991 0.6991 0.2954
S5 0.9039 0.9039 0.1002

Most intense lines, 2θ = 10–90°, sorted by position:
| 2theta | I (rel.) |
| --- | --- |
| 30.74 | 20.3 |
| 35.51 | 100.0 |
| 35.90 | 48.4 |
| 51.02 | 16.2 |
| 51.18 | 15.8 |
| 51.39 | 62.7 |
| 63.95 | 15.4 |
| 64.09 | 15.1 |
| 86.16 | 13.0 |
| 86.89 | 12.8 |

***

Record 7
The following is a computed X-ray diffraction stick pattern of Mn4Fe2Sb3. It was derived from a PBE-relaxed structure, using Cu Kα (weighted mean of Kα1 and Kα2).

abc: 3.9737 3.9737 18.7823
angles: 90.00 90.00 90.00
Sites, in units of the cell vectors:
Mn1 0.0000 0.0000 0.1680
Mn2 0.0000 0.0000 0.8320
Mn3 0.0000 0.5000 0.2623
Mn4 0.0000 0.5000 0.5858
Mn5 0.0000 0.5000 0.9267
Mn6 0.5000 0.0000 0.0733
Mn7 0.5000 0.0000 0.4142
Mn8 0.5000 0.0000 0.7377
Fe1 0.0000 0.0000 0.5000
Fe2 0.5000 0.5000 0.1681
Fe3 0.5000 0.5000 0.5000
Fe4 0.5000 0.5000 0.8319
Sb1 0.0000 0.5000 0.0718
Sb2 0.0000 0.5000 0.4098
Sb3 0.0000 0.5000 0.7358
Sb4 0.5000 0.0000 0.2642
Sb5 0.5000 0.0000 0.5902
Sb6 0.5000 0.0000 0.9282

Most intense lines, 2θ = 10–90°, sorted by position:
| 2theta | I (rel.) |
| --- | --- |
| 26.57 | 26.9 |
| 28.51 | 16.0 |
| 31.85 | 30.9 |
| 35.00 | 28.3 |
| 43.28 | 100.0 |
| 45.66 | 43.1 |
| 54.73 | 11.3 |
| 64.79 | 11.7 |
| 66.56 | 13.1 |
| 82.78 | 30.4 |

***

Record 8
The following is a computed X-ray diffraction stick pattern of MnFe4Si3. It was derived from a PBE-relaxed structure, using Cu Kα (weighted mean of Kα1 and Kα2).

abc: 4.6899 6.7146 6.7146
angles: 119.43 90.00 90.00
Sites, in units of the cell vectors:
Mn1 0.0000 0.1144 0.8856
Mn2 0.0000 0.8856 0.1144
Fe1 0.0000 0.6474 0.6474
Fe2 0.2496 0.2152 0.5517
Fe3 0.2496 0.5517 0.2152
Fe4 0.5000 0.1314 0.1314
Fe5 0.5000 0.6452 0.8844
Fe6 0.5000 0.8844 0.6452
Fe7 0.7504 0.2152 0.5517
Fe8 0.7504 0.5517 0.2152
Si1 0.0000 0.2921 0.2921
Si2 0.0000 0.4827 0.8804
Si3 0.0000 0.8804 0.4827
Si4 0.5000 0.2794 0.8847
Si5 0.5000 0.4909 0.4909
Si6 0.5000 0.8847 0.2794

Most intense lines, 2θ = 10–90°, sorted by position:
| 2theta | I (rel.) |
| --- | --- |
| 40.72 | 29.8 |
| 40.98 | 30.5 |
| 41.14 | 36.3 |
| 41.51 | 65.2 |
| 45.26 | 74.7 |
| 45.50 | 64.4 |
| 45.65 | 71.7 |
| 46.59 | 49.2 |
| 47.14 | 50.6 |
| 47.28 | 100.0 |

***

Record 9
The following is a computed X-ray diffraction stick pattern of Mn5Fe5Si6. It was derived from a PBE-relaxed structure, using Cu Kα (weighted mean of Kα1 and Kα2).

abc: 4.6420 6.8054 6.8054
angles: 120.78 90.00 90.00
Sites, in units of the cell vectors:
Mn1 0.0000 0.0000 0.0000
Mn2 0.2501 0.5707 0.8992
Mn3 0.2501 0.8992 0.5707
Mn4 0.7499 0.5707 0.8992
Mn5 0.7499 0.8992 0.5707
Fe1 0.0000 0.2279 0.4760
Fe2 0.0000 0.4760 0.2279
Fe3 0.5000 0.2331 0.9838
Fe4 0.5000 0.4714 0.4714
Fe5 0.5000 0.9838 0.2332
Si1 0.0000 0.2385 0.8355
Si2 0.0000 0.6177 0.6177
Si3 0.0000 0.8355 0.2385
Si4 0.5000 0.2323 0.6234
Si5 0.5000 0.6234 0.2323
Si6 0.5000 0.8412 0.8412

Most intense lines, 2θ = 10–90°, sorted by position:
| 2theta | I (rel.) |
| --- | --- |
| 40.62 | 33.2 |
| 40.98 | 31.6 |
| 41.86 | 56.9 |
| 45.06 | 64.8 |
| 45.26 | 77.2 |
| 45.59 | 63.1 |
| 46.02 | 30.6 |
| 46.60 | 54.0 |
| 47.42 | 100.0 |
| 47.61 | 49.0 |

***

Record 10
The following is a computed X-ray diffraction stick pattern of Mn3Fe3Si2. It was derived from a PBE-relaxed structure, using Cu Kα (weighted mean of Kα1 and Kα2).

abc: 6.8818 6.8818 6.8818
angles: 33.54 33.54 33.54
Sites, in units of the cell vectors:
Mn1 0.0000 0.0000 0.0000
Mn2 0.2500 0.2500 0.2500
Mn3 0.4999 0.4999 0.4999
Fe1 0.1248 0.1248 0.1248
Fe2 0.6249 0.6249 0.6249
Fe3 0.7497 0.7497 0.7497
Si1 0.3751 0.3751 0.3751
Si2 0.8747 0.8747 0.8747

Most intense lines, 2θ = 10–90°, sorted by position:
| 2theta | I (rel.) |
| --- | --- |
| 27.50 | 6.4 |
| 31.86 | 2.4 |
| 45.68 | 100.0 |
| 54.15 | 2.6 |
| 56.77 | 0.5 |
| 66.59 | 14.7 |
| 73.48 | 0.9 |
| 75.72 | 0.5 |
| 84.49 | 29.3 |

***

Record 11
The following is a computed X-ray diffraction stick pattern of Mn5Fe5Si6. It was derived from a PBE-relaxed structure, using Cu Kα (weighted mean of Kα1 and Kα2).

abc: 4.6952 6.7793 6.7793
angles: 118.97 90.00 90.00
Sites, in units of the cell vectors:
Mn1 0.0000 0.0000 0.0000
Mn2 0.0000 0.2423 0.4715
Mn3 0.0000 0.4715 0.2423
Mn4 0.5000 0.0082 0.2411
Mn5 0.5000 0.2411 0.0082
Fe1 0.2495 0.5756 0.9136
Fe2 0.2495 0.9136 0.5756
Fe3 0.5000 0.4929 0.4929
Fe4 0.7505 0.5756 0.9136
Fe5 0.7505 0.9136 0.5756
Si1 0.0000 0.2423 0.8399
Si2 0.0000 0.6447 0.6447
Si3 0.0000 0.8399 0.2423
Si4 0.5000 0.2483 0.6419
Si5 0.5000 0.6419 0.2483
Si6 0.5000 0.8377 0.8377

Most intense lines, 2θ = 10–90°, sorted by position:
| 2theta | I (rel.) |
| --- | --- |
| 40.04 | 27.7 |
| 40.51 | 31.1 |
| 40.79 | 40.6 |
| 41.40 | 63.7 |
| 44.63 | 78.4 |
| 45.06 | 60.5 |
| 45.32 | 72.3 |
| 45.90 | 50.7 |
| 46.84 | 50.1 |
| 47.09 | 100.0 |

***

Record 12
The following is a computed X-ray diffraction stick pattern of UMnFeSi2. It was derived from a PBE-relaxed structure, using Cu Kα (weighted mean of Kα1 and Kα2).

abc: 5.3918 5.3918 5.3918
angles: 136.61 136.61 63.03
Sites, in units of the cell vectors:
U1 0.0000 0.0000 0.0000
Mn1 0.7500 0.2500 0.5000
Fe1 0.2500 0.7500 0.5000
Si1 0.3701 0.3701 0.0000
Si2 0.6299 0.6299 0.0000

Most intense lines, 2θ = 10–90°, sorted by position:
| 2theta | I (rel.) |
| --- | --- |
| 24.34 | 89.1 |
| 31.75 | 19.1 |
| 37.00 | 66.1 |
| 37.43 | 100.0 |
| 45.51 | 39.6 |
| 52.28 | 24.7 |
| 55.00 | 19.9 |
| 60.04 | 33.2 |
| 69.87 | 19.5 |
| 78.73 | 25.2 |